# 1
The following is a simulated X-ray powder pattern of LiZr2In2CuIr2. It was derived from a structure optimized by DFT (PBE), using Cu Kα (weighted mean of Kα1 and Kα2).
Peak positions follow from Bragg's law for the DFT cell and can differ from measured ones.

Crystal structure
abc: 4.6122 4.6122 6.5186
angles: 90.00 90.00 90.00
Space group P-4m2 (No. 115)
Symmetry-distinct sites (fractional):
Li1 0.0000 0.0000 0.0000 (multiplicity 1)
Zr1 0.0000 0.5000 0.2517 (multiplicity 2)
In1 0.0000 0.5000 0.7530 (multiplicity 2)
Cu1 0.5000 0.5000 0.5000 (multiplicity 1)
Ir1 0.0000 0.0000 0.5000 (multiplicity 1)
Ir2 0.5000 0.5000 0.0000 (multiplicity 1)

Main lines, in order of falling intensity (10° ≤ 2θ ≤ 90°):
| 2theta | intensity | index |
| --- | --- | --- |
| 39.1 | 100 | 2 0 0 |
| 70.8 | 34 | 3 1 2 |
| 23.6 | 30 | 1 0 1 |
| 56.4 | 17 | 2 2 0 |
| 46.2 | 16 | 2 1 1 |
| 83.9 | 11 | 4 0 0 |
| 62.0 | 7 | 3 0 1 |
| 88.8 | 5 | 4 1 1 |
| 75.8 | 5 | 3 2 1 |
| 19.2 | 1 | 1 0 0 |

=====

# 2
The following is a simulated X-ray powder pattern of KTl3In3Cu4. It was derived from a structure optimized by DFT (PBE), using Cu Kα (weighted mean of Kα1 and Kα2).
Peak positions follow from Bragg's law for the DFT cell and can differ from measured ones.

Crystal structure
abc: 7.9467 7.9467 4.5031
angles: 90.00 90.00 120.00
Space group P-6m2 (No. 187)
Symmetry-distinct sites (fractional):
K1 0.0000 0.0000 0.0000 (multiplicity 1)
Tl1 0.3804 0.1902 0.5000 (multiplicity 3)
In1 0.0681 0.5341 0.0000 (multiplicity 3)
Cu1 0.2256 0.4511 0.5000 (multiplicity 3)
Cu2 0.6667 0.3333 0.0000 (multiplicity 1)

Main lines, in order of falling intensity (10° ≤ 2θ ≤ 90°):
| 2theta | intensity | index |
| --- | --- | --- |
| 32.8 | 100 | 2 0 1 |
| 40.0 | 73 | 0 0 2 |
| 62.3 | 26 | 2 2 2 |
| 34.5 | 25 | 2 1 0 |
| 12.9 | 23 | 1 0 0 |
| 57.3 | 19 | 3 0 2 |
| 45.7 | 17 | 2 2 0 |
| 25.9 | 17 | 2 0 0 |
| 68.1 | 16 | 2 0 3 |
| 39.3 | 15 | 3 0 0 |

=====

# 3
The following is a simulated X-ray powder pattern of LiIn2Cu5. It was derived from a structure optimized by DFT (PBE), using Cu Kα (weighted mean of Kα1 and Kα2).
Peak positions follow from Bragg's law for the DFT cell and can differ from measured ones.

Crystal structure
abc: 4.3257 4.3257 6.1155
angles: 90.00 90.00 90.00
Space group P4/mmm (No. 123)
Symmetry-distinct sites (fractional):
Li1 0.0000 0.0000 0.0000 (multiplicity 1)
In1 0.0000 0.0000 0.5000 (multiplicity 1)
In2 0.5000 0.5000 0.0000 (multiplicity 1)
Cu1 0.0000 0.5000 0.2527 (multiplicity 4)
Cu2 0.5000 0.5000 0.5000 (multiplicity 1)

Main lines, in order of falling intensity (10° ≤ 2θ ≤ 90°):
| 2theta | intensity | index |
| --- | --- | --- |
| 41.8 | 100 | 2 0 0 |
| 76.3 | 30 | 3 1 2 |
| 25.2 | 19 | 1 0 1 |
| 60.5 | 16 | 2 2 0 |
| 49.4 | 9 | 2 1 1 |
| 66.6 | 4 | 3 0 1 |
| 14.5 | 3 | 0 0 1 |
| 81.8 | 3 | 3 2 1 |
| 20.5 | 3 | 1 0 0 |
| 32.7 | 1 | 1 1 1 |

=====

# 4
The following is a simulated X-ray powder pattern of Li2Mg2ZnInCu2. It was derived from a structure optimized by DFT (PBE), using Cu Kα (weighted mean of Kα1 and Kα2).
Peak positions follow from Bragg's law for the DFT cell and can differ from measured ones.

Crystal structure
abc: 4.4314 4.4314 6.3300
angles: 90.00 90.00 90.00
Space group P-4m2 (No. 115)
Symmetry-distinct sites (fractional):
Li1 0.0000 0.5000 0.2310 (multiplicity 2)
Mg1 0.0000 0.0000 0.0000 (multiplicity 1)
Mg2 0.5000 0.5000 0.5000 (multiplicity 1)
Zn1 0.5000 0.5000 0.0000 (multiplicity 1)
In1 0.0000 0.0000 0.5000 (multiplicity 1)
Cu1 0.0000 0.5000 0.7649 (multiplicity 2)

Main lines, in order of falling intensity (10° ≤ 2θ ≤ 90°):
| 2theta | intensity | index |
| --- | --- | --- |
| 40.5 | 100 | 1 1 2 |
| 24.5 | 89 | 1 0 1 |
| 40.7 | 50 | 2 0 0 |
| 74.0 | 31 | 3 1 2 |
| 48.1 | 28 | 2 1 1 |
| 59.0 | 16 | 2 2 0 |
| 73.5 | 15 | 2 0 4 |
| 47.7 | 14 | 1 0 3 |
| 64.5 | 11 | 2 1 3 |
| 87.6 | 9 | 2 2 4 |

=====

# 5
The following is a simulated X-ray powder pattern of LiZr2In2CuPt2. It was derived from a structure optimized by DFT (PBE), using Cu Kα (weighted mean of Kα1 and Kα2).
Peak positions follow from Bragg's law for the DFT cell and can differ from measured ones.

Crystal structure
abc: 4.6332 4.6332 6.5629
angles: 90.00 90.00 90.00
Space group P-4m2 (No. 115)
Symmetry-distinct sites (fractional):
Li1 0.0000 0.0000 0.0000 (multiplicity 1)
Zr1 0.0000 0.5000 0.2542 (multiplicity 2)
In1 0.0000 0.5000 0.7499 (multiplicity 2)
Cu1 0.5000 0.5000 0.5000 (multiplicity 1)
Pt1 0.0000 0.0000 0.5000 (multiplicity 1)
Pt2 0.5000 0.5000 0.0000 (multiplicity 1)

Main lines, in order of falling intensity (10° ≤ 2θ ≤ 90°):
| 2theta | intensity | index |
| --- | --- | --- |
| 38.9 | 100 | 2 0 0 |
| 70.4 | 34 | 3 1 2 |
| 23.5 | 30 | 1 0 1 |
| 56.1 | 17 | 2 2 0 |
| 45.9 | 16 | 2 1 1 |
| 83.4 | 11 | 4 0 0 |
| 61.7 | 7 | 3 0 1 |
| 88.1 | 4 | 3 2 3 |
| 75.3 | 3 | 3 0 3 |
| 75.4 | 3 | 3 2 1 |

=====

# 6
The following is a simulated X-ray powder pattern of LiIn2CuTe4. It was derived from a structure optimized by DFT (PBE), using Cu Kα (weighted mean of Kα1 and Kα2).
Peak positions follow from Bragg's law for the DFT cell and can differ from measured ones.

Crystal structure
abc: 6.3759 6.3759 12.7071
angles: 90.00 90.00 90.00
Space group I-4 (No. 82)
Symmetry-distinct sites (fractional):
Li1 0.0000 0.0000 0.0000 (multiplicity 2)
In1 0.0000 0.0000 0.5000 (multiplicity 2)
In2 0.0000 0.5000 0.7500 (multiplicity 2)
Cu1 0.0000 0.5000 0.2500 (multiplicity 2)
Te1 0.2274 0.2595 0.1290 (multiplicity 8)

Main lines, in order of falling intensity (10° ≤ 2θ ≤ 90°):
| 2theta | intensity | index |
| --- | --- | --- |
| 24.2 | 100 | 1 1 2 |
| 40.0 | 73 | 2 0 4 |
| 47.3 | 30 | 3 1 2 |
| 47.4 | 16 | 1 1 6 |
| 72.7 | 14 | 2 4 4 |
| 63.7 | 12 | 1 3 6 |
| 77.9 | 9 | 3 3 6 |
| 32.2 | 8 | 2 1 1 |
| 15.5 | 8 | 1 0 1 |
| 72.8 | 8 | 2 2 8 |

=====

# 7
The following is a simulated X-ray powder pattern of LiYInCu. It was derived from a structure optimized by DFT (PBE), using Cu Kα (weighted mean of Kα1 and Kα2).
Peak positions follow from Bragg's law for the DFT cell and can differ from measured ones.

Crystal structure
abc: 4.7054 4.7054 6.6648
angles: 90.00 90.00 90.00
Space group P-4m2 (No. 115)
Symmetry-distinct sites (fractional):
Li1 0.0000 0.0000 0.0000 (multiplicity 1)
Li2 0.5000 0.5000 0.5000 (multiplicity 1)
Y1 0.0000 0.5000 0.7493 (multiplicity 2)
In1 0.0000 0.5000 0.2490 (multiplicity 2)
Cu1 0.0000 0.0000 0.5000 (multiplicity 1)
Cu2 0.5000 0.5000 0.0000 (multiplicity 1)

Main lines, in order of falling intensity (10° ≤ 2θ ≤ 90°):
| 2theta | intensity | index |
| --- | --- | --- |
| 38.2 | 100 | 2 0 0 |
| 69.1 | 33 | 3 1 2 |
| 26.8 | 29 | 1 1 0 |
| 55.2 | 17 | 2 2 0 |
| 23.1 | 15 | 1 0 1 |
| 62.4 | 10 | 3 1 0 |
| 81.8 | 10 | 4 0 0 |
| 47.3 | 8 | 2 0 2 |
| 45.2 | 7 | 2 1 1 |
| 88.0 | 3 | 3 1 4 |

=====

# 8
The following is a simulated X-ray powder pattern of Lu2Sc2In5Cu2. It was derived from a structure optimized by DFT (PBE), using Cu Kα (weighted mean of Kα1 and Kα2).
Peak positions follow from Bragg's law for the DFT cell and can differ from measured ones.

Crystal structure
abc: 7.5725 3.4491 9.2848
angles: 90.00 94.42 90.00
Space group P2/m (No. 10)
Symmetry-distinct sites (fractional):
Lu1 0.2176 0.0000 0.4315 (multiplicity 2)
Sc1 0.1931 0.0000 0.8524 (multiplicity 2)
In1 0.1469 0.5000 0.1361 (multiplicity 2)
In2 0.4531 0.5000 0.6730 (multiplicity 2)
In3 0.5000 0.5000 0.0000 (multiplicity 1)
Cu1 0.0740 0.5000 0.6321 (multiplicity 2)

Main lines, in order of falling intensity (10° ≤ 2θ ≤ 90°):
| 2theta | intensity | index |
| --- | --- | --- |
| 35.2 | 100 | 2 1 0 |
| 35.1 | 96 | 1 1 2 |
| 32.2 | 75 | 1 0 3 |
| 34.0 | 73 | 1 1 -2 |
| 39.5 | 67 | 2 1 -2 |
| 36.1 | 52 | 2 0 -3 |
| 35.7 | 51 | 3 0 0 |
| 37.1 | 44 | 2 1 1 |
| 39.2 | 42 | 0 1 3 |
| 27.6 | 39 | 0 1 1 |

=====

# 9
The following is a simulated X-ray powder pattern of Tm2Lu2In5Cu2. It was derived from a structure optimized by DFT (PBE), using Cu Kα (weighted mean of Kα1 and Kα2).
Peak positions follow from Bragg's law for the DFT cell and can differ from measured ones.

Crystal structure
abc: 7.6446 3.5546 9.4090
angles: 90.00 94.39 90.00
Space group P2/m (No. 10)
Symmetry-distinct sites (fractional):
Tm1 0.1882 0.0000 0.3523 (multiplicity 2)
Lu1 0.2175 0.0000 0.9349 (multiplicity 2)
In1 0.1590 0.5000 0.6454 (multiplicity 2)
In2 0.4554 0.5000 0.1686 (multiplicity 2)
In3 0.5000 0.5000 0.5000 (multiplicity 1)
Cu1 0.0705 0.5000 0.1284 (multiplicity 2)

Main lines, in order of falling intensity (10° ≤ 2θ ≤ 90°):
| 2theta | intensity | index |
| --- | --- | --- |
| 34.3 | 100 | 1 1 2 |
| 34.5 | 90 | 2 1 0 |
| 33.2 | 86 | 1 1 -2 |
| 38.7 | 70 | 2 0 3 |
| 38.4 | 59 | 0 1 3 |
| 35.3 | 55 | 3 0 0 |
| 31.8 | 43 | 1 0 3 |
| 35.7 | 40 | 2 0 -3 |
| 51.4 | 40 | 0 2 0 |
| 36.3 | 35 | 2 1 1 |

=====

# 10
The following is a simulated X-ray powder pattern of MgIn2Cu5. It was derived from a structure optimized by DFT (PBE), using Cu Kα (weighted mean of Kα1 and Kα2).
Peak positions follow from Bragg's law for the DFT cell and can differ from measured ones.

Crystal structure
abc: 4.3908 4.3908 6.2140
angles: 90.00 90.00 90.00
Space group P4/mmm (No. 123)
Symmetry-distinct sites (fractional):
Mg1 0.0000 0.0000 0.0000 (multiplicity 1)
In1 0.0000 0.0000 0.5000 (multiplicity 1)
In2 0.5000 0.5000 0.0000 (multiplicity 1)
Cu1 0.0000 0.5000 0.2617 (multiplicity 4)
Cu2 0.5000 0.5000 0.5000 (multiplicity 1)

Main lines, in order of falling intensity (10° ≤ 2θ ≤ 90°):
| 2theta | intensity | index |
| --- | --- | --- |
| 41.1 | 100 | 2 0 0 |
| 74.9 | 30 | 3 1 2 |
| 59.5 | 16 | 2 2 0 |
| 24.8 | 13 | 1 0 1 |
| 89.2 | 10 | 4 0 0 |
| 48.6 | 6 | 2 1 1 |
| 65.5 | 3 | 3 0 1 |
| 14.3 | 3 | 0 0 1 |
| 80.3 | 2 | 3 2 1 |
| 20.2 | 1 | 1 0 0 |

=====

# 11
The following is a simulated X-ray powder pattern of MgInCu2. It was derived from a structure optimized by DFT (PBE), using Cu Kα (weighted mean of Kα1 and Kα2).
Peak positions follow from Bragg's law for the DFT cell and can differ from measured ones.

Crystal structure
abc: 6.3531 6.3531 6.3531
angles: 90.00 90.00 90.00
Space group Pm-3m (No. 221)
Symmetry-distinct sites (fractional):
Mg1 0.0000 0.0000 0.0000 (multiplicity 1)
Mg2 0.0000 0.0000 0.5000 (multiplicity 3)
In1 0.0000 0.5000 0.5000 (multiplicity 3)
In2 0.5000 0.5000 0.5000 (multiplicity 1)
Cu1 0.2405 0.2405 0.2405 (multiplicity 8)

Main lines, in order of falling intensity (10° ≤ 2θ ≤ 90°):
| 2theta | intensity | index |
| --- | --- | --- |
| 40.1 | 100 | 2 2 0 |
| 72.9 | 30 | 4 2 2 |
| 58.1 | 16 | 4 0 0 |
| 31.5 | 15 | 2 1 0 |
| 13.9 | 12 | 1 0 0 |
| 86.7 | 9 | 4 4 0 |
| 24.3 | 7 | 1 1 1 |
| 42.7 | 6 | 3 0 0 |
| 60.0 | 5 | 3 2 2 |
| 47.5 | 3 | 3 1 1 |

=====

# 12
The following is a simulated X-ray powder pattern of MgIn2Cu4Ni. It was derived from a structure optimized by DFT (PBE), using Cu Kα (weighted mean of Kα1 and Kα2).
Peak positions follow from Bragg's law for the DFT cell and can differ from measured ones.

Crystal structure
abc: 4.3596 4.3596 6.2081
angles: 90.00 90.00 90.00
Space group P4/mmm (No. 123)
Symmetry-distinct sites (fractional):
Mg1 0.0000 0.0000 0.0000 (multiplicity 1)
In1 0.0000 0.0000 0.5000 (multiplicity 1)
In2 0.5000 0.5000 0.0000 (multiplicity 1)
Cu1 0.0000 0.5000 0.2623 (multiplicity 4)
Ni1 0.5000 0.5000 0.5000 (multiplicity 1)

Main lines, in order of falling intensity (10° ≤ 2θ ≤ 90°):
| 2theta | intensity | index |
| --- | --- | --- |
| 41.3 | 100 | 1 1 2 |
| 41.4 | 50 | 2 0 0 |
| 75.4 | 30 | 3 1 2 |
| 25.0 | 22 | 1 0 1 |
| 60.0 | 16 | 2 2 0 |
| 75.1 | 15 | 2 0 4 |
| 89.6 | 10 | 2 2 4 |
| 59.6 | 8 | 0 0 4 |
| 49.0 | 7 | 2 1 1 |
| 14.3 | 4 | 0 0 1 |

=====

# 13
The following is a simulated X-ray powder pattern of InCu3MoS4. It was derived from a structure optimized by DFT (PBE), using Cu Kα (weighted mean of Kα1 and Kα2).
Peak positions follow from Bragg's law for the DFT cell and can differ from measured ones.

Crystal structure
abc: 5.7896 5.7896 5.7896
angles: 90.00 90.00 90.00
Space group P-43m (No. 215)
Symmetry-distinct sites (fractional):
In1 0.0000 0.0000 0.0000 (multiplicity 1)
Cu1 0.0000 0.5000 0.5000 (multiplicity 3)
Mo1 0.5000 0.5000 0.5000 (multiplicity 1)
S1 0.2711 0.2711 0.2711 (multiplicity 4)

Main lines, in order of falling intensity (10° ≤ 2θ ≤ 90°):
| 2theta | intensity | index |
| --- | --- | --- |
| 44.2 | 100 | 2 2 0 |
| 26.7 | 64 | 1 1 1 |
| 21.7 | 50 | 1 1 0 |
| 30.9 | 41 | 2 0 0 |
| 81.4 | 29 | 4 2 2 |
| 52.4 | 26 | 3 1 1 |
| 38.1 | 23 | 2 1 1 |
| 64.4 | 15 | 4 0 0 |
| 73.1 | 14 | 4 2 0 |
| 59.8 | 13 | 3 2 1 |

=====

# 14
The following is a simulated X-ray powder pattern of InCu3Te4Mo. It was derived from a structure optimized by DFT (PBE), using Cu Kα (weighted mean of Kα1 and Kα2).
Peak positions follow from Bragg's law for the DFT cell and can differ from measured ones.

Crystal structure
abc: 6.4045 6.4045 6.4045
angles: 90.00 90.00 90.00
Space group P-43m (No. 215)
Symmetry-distinct sites (fractional):
In1 0.0000 0.0000 0.0000 (multiplicity 1)
Cu1 0.0000 0.5000 0.5000 (multiplicity 3)
Te1 0.2656 0.2656 0.2656 (multiplicity 4)
Mo1 0.5000 0.5000 0.5000 (multiplicity 1)

Main lines, in order of falling intensity (10° ≤ 2θ ≤ 90°):
| 2theta | intensity | index |
| --- | --- | --- |
| 39.8 | 100 | 2 2 0 |
| 24.1 | 91 | 1 1 1 |
| 47.1 | 41 | 3 1 1 |
| 72.3 | 30 | 4 2 2 |
| 19.6 | 18 | 1 1 0 |
| 57.6 | 16 | 4 0 0 |
| 63.3 | 16 | 3 3 1 |
| 34.3 | 11 | 2 1 1 |
| 77.4 | 11 | 3 3 3 |
| 85.8 | 9 | 4 4 0 |